# 1
The following is a theoretical XRD peak list of BaSrPrHfO6. It was derived from a cell relaxed with GGA-PBE, using Cu Kα (λ = 1.5418 Å).
Peak positions follow from Bragg's law for the DFT cell and can differ from measured ones.

```
data_BaSrPrHfO6
_cell_length_a 8.6780
_cell_length_b 8.6900
_cell_length_c 8.7407
_cell_angle_alpha 90.00
_cell_angle_beta 90.00
_cell_angle_gamma 90.00
_space_group_name_H-M_alt 'P 2 2 2'
_space_group_IT_number 16
loop_
_space_group_symop_operation_xyz
'x,y,z'
'-x,-y,z'
'x,-y,-z'
'-x,y,-z'
loop_
_atom_site_label
_atom_site_fract_x
_atom_site_fract_y
_atom_site_fract_z
Ba1 0.0000 0.0000 0.0000
Ba2 0.0000 0.0000 0.5000
Ba3 0.0000 0.5000 0.0000
Ba4 0.5000 0.0000 0.5000
Sr1 0.0000 0.5000 0.5000
Sr2 0.5000 0.0000 0.0000
Sr3 0.5000 0.5000 0.0000
Sr4 0.5000 0.5000 0.5000
Pr1 0.2526 0.2533 0.7485
Hf1 0.2530 0.2552 0.2523
O1 0.0164 0.2942 0.2879
O2 0.2134 0.2216 0.0165
O3 0.2208 0.0172 0.2853
O4 0.2941 0.4846 0.2026
O5 0.2968 0.2917 0.4835
O6 0.4843 0.2035 0.2101
```

Main lines, sorted by position (10 to 80 degrees two-theta):
2theta	intensity	index
29.0	100.0	2 0 2
29.1	49.8	2 2 0
41.6	26.6	4 0 0
51.3	22.7	2 2 4
51.5	44.6	2 4 2
60.1	16.3	4 0 4

---

# 2
The following is a theoretical XRD peak list of Tm4Ga12Pd. It was derived from a cell relaxed with GGA-PBE, using Cu Kα (λ = 1.5418 Å).
Peak positions follow from Bragg's law for the DFT cell and can differ from measured ones.

```
data_Tm4Ga12Pd
_cell_length_a 8.6052
_cell_length_b 8.6052
_cell_length_c 8.6052
_cell_angle_alpha 90.00
_cell_angle_beta 90.00
_cell_angle_gamma 90.00
_space_group_name_H-M_alt 'I m -3 m'
_space_group_IT_number 229
_space_group_name_Hall '-I 4 2 3'
loop_
_atom_site_label
_atom_site_fract_x
_atom_site_fract_y
_atom_site_fract_z
Tm1 0.2500 0.2500 0.2500
Ga1 0.0000 0.0000 0.2960
Ga2 0.0000 0.2500 0.5000
Pd1 0.0000 0.0000 0.0000
```

Main lines, sorted by position (10 to 80 degrees two-theta):
2theta	intensity	index
29.4	39.0	2 2 0
36.2	100.0	2 2 2
42.0	64.7	4 0 0
52.1	11.4	4 2 2
60.9	37.9	4 4 0
72.9	30.1	6 2 2

---

# 3
The following is a theoretical XRD peak list of Ho5Ti5O17. It was derived from a cell relaxed with GGA-PBE, using Cu Kα (λ = 1.5418 Å).
Peak positions follow from Bragg's law for the DFT cell and can differ from measured ones.

```
data_Ho5Ti5O17
_cell_length_a 3.8333
_cell_length_b 5.4509
_cell_length_c 31.7494
_cell_angle_alpha 90.00
_cell_angle_beta 90.00
_cell_angle_gamma 90.00
_space_group_name_H-M_alt 'P m n 21'
_space_group_IT_number 31
loop_
_space_group_symop_operation_xyz
'x,y,z'
'-x+1/2,-y,z+1/2'
'-x,y,z'
'x+1/2,-y,z+1/2'
loop_
_atom_site_label
_atom_site_fract_x
_atom_site_fract_y
_atom_site_fract_z
Ho1 0.0000 0.1770 0.0000
Ho2 0.0000 0.2304 0.2231
Ho3 0.0000 0.3216 0.4481
Ho4 0.0000 0.7043 0.3213
Ho5 0.0000 0.7640 0.1293
Ti1 0.0000 0.2169 0.8989
Ti2 0.0000 0.2429 0.7267
Ti3 0.0000 0.2740 0.5496
Ti4 0.0000 0.7422 0.8124
Ti5 0.0000 0.7464 0.6357
O1 0.0000 0.0375 0.8428
O2 0.0000 0.0473 0.5005
O3 0.0000 0.0469 0.6718
O4 0.0000 0.2929 0.3014
O5 0.0000 0.3016 0.1473
O6 0.0000 0.3881 0.7809
O7 0.0000 0.4266 0.6069
O8 0.0000 0.4472 0.9482
O9 0.0000 0.5168 0.8577
O10 0.0000 0.5402 0.6974
O11 0.0000 0.5409 0.5119
O12 0.0000 0.7451 0.3939
O13 0.0000 0.7733 0.0566
O14 0.0000 0.8051 0.2271
O15 0.0000 0.8968 0.7551
O16 0.0000 0.9491 0.9379
O17 0.0000 0.9542 0.5915
```

Main lines, sorted by position (10 to 80 degrees two-theta):
2theta	intensity	index
21.5	49.1	0 1 5
30.7	100.0	1 1 4
32.9	29.4	0 2 0
33.2	28.7	1 1 6
34.6	29.3	1 0 9
47.4	26.9	2 0 0

---

# 4
The following is a theoretical XRD peak list of Ca2B8H2O15. It was derived from a cell relaxed with GGA-PBE, using Cu Kα (λ = 1.5418 Å).
Peak positions follow from Bragg's law for the DFT cell and can differ from measured ones.

```
data_Ca2B8H2O15
_cell_length_a 6.5112
_cell_length_b 9.4125
_cell_length_c 10.0991
_cell_angle_alpha 116.83
_cell_angle_beta 90.43
_cell_angle_gamma 99.26
_space_group_name_H-M_alt 'P -1'
_space_group_IT_number 2
loop_
_space_group_symop_operation_xyz
'x,y,z'
'-x,-y,-z'
loop_
_atom_site_label
_atom_site_fract_x
_atom_site_fract_y
_atom_site_fract_z
Ca1 0.0125 0.1758 0.2212
Ca2 0.3273 0.1835 0.6687
B1 0.0619 0.1920 0.9200
B2 0.0808 0.4040 0.6249
B3 0.2282 0.8270 0.4741
B4 0.2473 0.9397 0.2802
B5 0.2648 0.5320 0.3445
B6 0.2900 0.7375 0.0208
B7 0.4206 0.6086 0.7598
B8 0.4417 0.8429 0.6897
H1 0.3179 0.1423 0.0032
H2 0.3215 0.3754 0.9924
O1 0.0007 0.2407 0.5478
O2 0.0285 0.9178 0.2315
O3 0.0499 0.4841 0.3488
O4 0.0958 0.7453 0.9728
O5 0.1691 0.0959 0.9784
O6 0.2126 0.3200 0.9102
O7 0.2778 0.9519 0.4282
O8 0.2862 0.4466 0.6749
O9 0.3011 0.9087 0.6370
O10 0.3421 0.7241 0.7218
O11 0.3479 0.1002 0.2857
O12 0.3491 0.6926 0.3956
O13 0.3542 0.8102 0.1716
O14 0.3633 0.4041 0.2816
O15 0.4307 0.6648 0.9221
```

Main lines, sorted by position (10 to 80 degrees two-theta):
2theta	intensity	index
10.7	76.0	0 1 0
19.8	63.1	0 0 2
21.5	73.3	0 2 0
26.6	93.5	0 1 -3
29.8	100.0	0 0 3
44.4	68.8	1 4 -3

---

# 5
The following is a theoretical XRD peak list of MgTl6Sb2S8. It was derived from a cell relaxed with GGA-PBE, using Cu Kα (λ = 1.5418 Å).
Peak positions follow from Bragg's law for the DFT cell and can differ from measured ones.

```
data_MgTl6Sb2S8
_cell_length_a 6.4637
_cell_length_b 7.3849
_cell_length_c 12.8065
_cell_angle_alpha 78.45
_cell_angle_beta 88.37
_cell_angle_gamma 71.76
_space_group_name_H-M_alt 'P 1'
_space_group_IT_number 1
loop_
_space_group_symop_operation_xyz
'x,y,z'
loop_
_atom_site_label
_atom_site_fract_x
_atom_site_fract_y
_atom_site_fract_z
Mg1 0.0000 0.0000 0.0000
Tl1 0.3540 0.1319 0.1411
Tl2 0.3589 0.0254 0.5238
Tl3 0.5048 0.3299 0.8887
Tl4 0.6506 0.3962 0.3198
Tl5 0.8689 0.5911 0.0469
Tl6 0.9300 0.5788 0.6980
Sb1 0.0501 0.8142 0.3432
Sb2 0.2535 0.9174 0.8000
S1 0.0144 0.3198 0.9185
S2 0.0674 0.4878 0.3624
S3 0.3740 0.7719 0.9905
S4 0.4012 0.6475 0.7067
S5 0.4145 0.8260 0.3404
S6 0.8701 0.0351 0.1809
S7 0.8758 0.9049 0.8404
S8 0.8779 0.9779 0.4776
```

Main lines, sorted by position (10 to 80 degrees two-theta):
2theta	intensity	index
20.0	64.8	1 1 2
22.2	100.0	1 -1 0
25.1	50.3	1 2 1
25.3	59.3	1 0 -3
27.1	66.3	0 1 -3
28.4	65.0	2 1 1